# 1
Theoretical XRD peak list
Compound: Cu3B4Pb2O11
Radiation: a wavelength of 1.5418 Å
Structure: a crystal structure in the Materials Project, relaxed with GGA-PBE

Largest 10 diffraction maxima, by angle, 2θ from 10° to 90°:
2theta  I/Imax
18.55  37.4
19.50  26.1
23.43  36.0
28.13  28.3
30.05  100.0
31.52  31.0
32.20  31.8
33.36  48.5
36.82  26.6
46.33  30.0

Cell: 6.8748 4.7836 15.6771 Å, 90.00 109.20 90.00°
Element x y z (fractional)
Cu (0.0000, 0.0000, 0.0000)
Cu (0.0000, 0.0000, 0.5000)
Cu (0.2888, 0.4785, 0.4415)
Cu (0.2888, 0.5215, 0.9415)
Cu (0.7112, 0.4785, 0.0585)
Cu (0.7112, 0.5215, 0.5585)
B (0.1390, 0.0114, 0.8392)
B (0.1390, 0.9886, 0.3392)
B (0.4641, 0.0546, 0.5967)
B (0.4641, 0.9454, 0.0967)
B (0.5359, 0.0546, 0.9033)
B (0.5359, 0.9454, 0.4033)
B (0.8610, 0.0114, 0.6608)
B (0.8610, 0.9886, 0.1608)
Pb (0.2084, 0.4211, 0.1920)
Pb (0.2084, 0.5789, 0.6920)
Pb (0.7916, 0.4211, 0.3080)
Pb (0.7916, 0.5789, 0.8080)
O (0.0000, 0.1100, 0.2500)
O (0.0000, 0.8900, 0.7500)
O (0.0892, 0.1749, 0.4077)
O (0.0892, 0.8251, 0.9077)
O (0.0991, 0.3011, 0.8492)
O (0.0991, 0.6989, 0.3492)
O (0.2787, 0.0674, 0.0898)
O (0.2787, 0.9326, 0.5898)
O (0.3542, 0.0518, 0.3412)
O (0.3542, 0.9482, 0.8412)
O (0.4734, 0.2904, 0.5477)
O (0.4734, 0.7096, 0.0477)
O (0.5266, 0.2904, 0.9523)
O (0.5266, 0.7096, 0.4523)
O (0.6458, 0.0518, 0.1588)
O (0.6458, 0.9482, 0.6588)
O (0.7213, 0.0674, 0.4102)
O (0.7213, 0.9326, 0.9102)
O (0.9009, 0.3011, 0.6508)
O (0.9009, 0.6989, 0.1508)
O (0.9108, 0.1749, 0.0923)
O (0.9108, 0.8251, 0.5923)

---

# 2
Theoretical XRD peak list
Compound: SrAl2Si2O8
Radiation: a wavelength of 1.5418 Å
Structure: a crystal structure in the Materials Project, relaxed with GGA-PBE

Largest 10 diffraction maxima, by angle, 2θ from 10° to 90°:
2theta  I/Imax
18.41  28.9
18.70  100.0
24.03  19.8
25.40  16.8
29.16  23.3
29.54  18.4
29.97  22.1
30.09  17.1
34.87  27.0
43.69  15.2

Cell: 9.4981 9.4981 10.5448 Å, 101.40 101.40 80.30°
Element x y z (fractional)
Sr (0.0537, 0.3186, 0.2241)
Sr (0.3186, 0.0537, 0.7241)
Sr (0.6814, 0.9463, 0.2759)
Sr (0.9463, 0.6814, 0.7759)
Al (0.0585, 0.1107, 0.8900)
Al (0.1107, 0.0585, 0.3900)
Al (0.2880, 0.5569, 0.4254)
Al (0.4431, 0.7120, 0.0746)
Al (0.5569, 0.2880, 0.9254)
Al (0.7120, 0.4431, 0.5746)
Al (0.8893, 0.9415, 0.6100)
Al (0.9415, 0.8893, 0.1100)
Si (0.0113, 0.7702, 0.3749)
Si (0.2298, 0.9887, 0.1251)
Si (0.2535, 0.4573, 0.9214)
Si (0.4573, 0.2535, 0.4214)
Si (0.5427, 0.7465, 0.5786)
Si (0.7465, 0.5427, 0.0786)
Si (0.7702, 0.0113, 0.8749)
Si (0.9887, 0.2298, 0.6251)
O (0.0693, 0.8667, 0.6820)
O (0.0718, 0.2176, 0.7761)
O (0.1040, 0.6087, 0.3873)
O (0.1160, 0.8704, 0.0775)
O (0.1225, 0.1852, 0.5379)
O (0.1296, 0.8840, 0.4225)
O (0.1333, 0.9307, 0.8180)
O (0.1632, 0.5317, 0.8030)
O (0.1852, 0.1225, 0.0379)
O (0.2176, 0.0718, 0.2761)
O (0.3103, 0.3718, 0.3748)
O (0.3515, 0.5679, 0.0339)
O (0.3718, 0.3103, 0.8748)
O (0.3913, 0.8960, 0.1127)
O (0.4321, 0.6485, 0.4661)
O (0.4683, 0.8368, 0.6970)
O (0.5317, 0.1632, 0.3030)
O (0.5679, 0.3515, 0.5339)
O (0.6087, 0.1040, 0.8873)
O (0.6282, 0.6897, 0.1252)
O (0.6485, 0.4321, 0.9661)
O (0.6897, 0.6282, 0.6252)
O (0.7824, 0.9282, 0.7239)
O (0.8148, 0.8775, 0.9621)
O (0.8368, 0.4683, 0.1970)
O (0.8667, 0.0693, 0.1820)
O (0.8704, 0.1160, 0.5775)
O (0.8775, 0.8148, 0.4621)
O (0.8840, 0.1296, 0.9225)
O (0.8960, 0.3913, 0.6127)
O (0.9282, 0.7824, 0.2239)
O (0.9307, 0.1333, 0.3180)

---

# 3
Theoretical XRD peak list
Compound: Bi4Te3N2
Radiation: a wavelength of 1.5418 Å
Structure: a crystal structure in the Materials Project, relaxed with GGA-PBE

Largest 10 diffraction maxima, by angle, 2θ from 10° to 90°:
2theta  I/Imax
23.23  39.2
24.59  24.7
26.73  42.0
26.95  43.5
29.41  100.0
34.79  56.0
35.59  34.2
35.87  51.1
43.61  28.4
53.87  24.4

Cell: 7.6587 16.4340 4.1506 Å, 90.00 90.00 90.00°
Element x y z (fractional)
Bi (0.1931, 0.0612, 0.0000)
Bi (0.2045, 0.8571, 0.5000)
Bi (0.2955, 0.3571, 0.0000)
Bi (0.3069, 0.5612, 0.5000)
Bi (0.6931, 0.4388, 0.5000)
Bi (0.7045, 0.6429, 0.0000)
Bi (0.7955, 0.1429, 0.5000)
Bi (0.8069, 0.9388, 0.0000)
Te (0.0000, 0.5000, 0.0000)
Te (0.1610, 0.2165, 0.5000)
Te (0.3390, 0.7165, 0.0000)
Te (0.5000, 0.0000, 0.5000)
Te (0.6610, 0.2835, 0.0000)
Te (0.8390, 0.7835, 0.5000)
N (0.1080, 0.9252, 0.0000)
N (0.3920, 0.4252, 0.5000)
N (0.6080, 0.5748, 0.5000)
N (0.8920, 0.0748, 0.0000)

---

# 4
Theoretical XRD peak list
Compound: Cu2H6C3Br2N6
Radiation: a wavelength of 1.5418 Å
Structure: a crystal structure in the Materials Project, relaxed with GGA-PBE

Largest 10 diffraction maxima, by angle, 2θ from 10° to 90°:
2theta  I/Imax
10.58  36.2
10.77  100.0
15.12  24.2
19.28  14.5
21.37  65.6
22.02  23.2
23.89  15.6
28.86  17.9
32.72  11.0
47.15  13.4

Cell: 4.7784 16.7232 8.2186 Å, 90.00 90.95 90.00°
Element x y z (fractional)
Cu (0.1955, 0.0778, 0.0552)
Cu (0.1955, 0.4222, 0.0552)
Cu (0.8045, 0.5778, 0.9448)
Cu (0.8045, 0.9222, 0.9448)
H (0.1041, 0.1972, 0.8708)
H (0.1041, 0.3028, 0.8708)
H (0.4045, 0.6180, 0.5111)
H (0.4045, 0.8820, 0.5111)
H (0.4870, 0.5608, 0.6851)
H (0.4870, 0.9392, 0.6851)
H (0.5130, 0.0608, 0.3149)
H (0.5130, 0.4392, 0.3149)
H (0.5955, 0.1180, 0.4889)
H (0.5955, 0.3820, 0.4889)
H (0.8959, 0.6972, 0.1292)
H (0.8959, 0.8028, 0.1292)
C (0.2825, 0.2500, 0.0710)
C (0.4401, 0.1821, 0.2992)
C (0.4401, 0.3179, 0.2992)
C (0.5599, 0.6821, 0.7008)
C (0.5599, 0.8179, 0.7008)
C (0.7175, 0.7500, 0.9290)
Br (0.1425, 0.5555, 0.1692)
Br (0.1425, 0.9445, 0.1692)
Br (0.8575, 0.0555, 0.8308)
Br (0.8575, 0.4445, 0.8308)
N (0.1700, 0.2500, 0.9203)
N (0.3366, 0.1781, 0.1428)
N (0.3366, 0.3219, 0.1428)
N (0.4804, 0.2500, 0.3825)
N (0.4927, 0.6136, 0.6239)
N (0.4927, 0.8864, 0.6239)
N (0.5073, 0.1136, 0.3761)
N (0.5073, 0.3864, 0.3761)
N (0.5196, 0.7500, 0.6175)
N (0.6634, 0.6781, 0.8572)
N (0.6634, 0.8219, 0.8572)
N (0.8300, 0.7500, 0.0797)

---

# 5
Theoretical XRD peak list
Compound: Hg3Se2I2
Radiation: a wavelength of 1.5418 Å
Structure: a crystal structure in the Materials Project, relaxed with GGA-PBE

Largest 10 diffraction maxima, by angle, 2θ from 10° to 90°:
2theta  I/Imax
19.82  30.6
23.92  23.6
26.53  18.8
26.74  28.7
30.90  100.0
35.63  33.5
35.88  35.6
35.99  43.0
51.54  30.1
51.73  23.8

Cell: 11.1856 11.1856 11.2629 Å, 113.53 113.53 52.99°
Element x y z (fractional)
Hg (0.0655, 0.0655, 0.2239)
Hg (0.1429, 0.6090, 0.5020)
Hg (0.1776, 0.6661, 0.2037)
Hg (0.2215, 0.2215, 0.7656)
Hg (0.3339, 0.8224, 0.7963)
Hg (0.3910, 0.8571, 0.4980)
Hg (0.6090, 0.1429, 0.5020)
Hg (0.6661, 0.1776, 0.2037)
Hg (0.7785, 0.7785, 0.2344)
Hg (0.8224, 0.3339, 0.7963)
Hg (0.8571, 0.3910, 0.4980)
Hg (0.9345, 0.9345, 0.7761)
Se (0.0618, 0.5500, 0.2480)
Se (0.1954, 0.6840, 0.7565)
Se (0.3160, 0.8046, 0.2435)
Se (0.4500, 0.9382, 0.7520)
Se (0.5500, 0.0618, 0.2480)
Se (0.6840, 0.1954, 0.7565)
Se (0.8046, 0.3160, 0.2435)
Se (0.9382, 0.4500, 0.7520)
I (0.0000, 0.0000, 0.5000)
I (0.1221, 0.1221, 0.9969)
I (0.2541, 0.2541, 0.5095)
I (0.3772, 0.3772, 0.0033)
I (0.5000, 0.5000, 0.5000)
I (0.6228, 0.6228, 0.9967)
I (0.7459, 0.7459, 0.4904)
I (0.8779, 0.8779, 0.0031)

---

# 6
Theoretical XRD peak list
Compound: Ta2V4Si5
Radiation: a wavelength of 1.5418 Å
Structure: a crystal structure in the Materials Project, relaxed with GGA-PBE

Largest 10 diffraction maxima, by angle, 2θ from 10° to 90°:
2theta  I/Imax
10.82  94.6
12.93  37.2
20.10  89.8
23.59  35.6
26.02  45.4
29.77  45.2
39.47  52.5
40.53  100.0
42.50  52.2
46.46  34.9

Cell: 9.3665 9.3665 9.3665 Å, 132.52 58.36 148.07°
Element x y z (fractional)
Ta (0.0614, 0.2500, 0.8114)
Ta (0.4386, 0.2500, 0.1886)
Ta (0.5614, 0.7500, 0.8114)
Ta (0.9386, 0.7500, 0.1886)
V (0.0647, 0.2484, 0.3131)
V (0.1442, 0.6179, 0.7621)
V (0.3558, 0.1179, 0.4737)
V (0.4353, 0.7484, 0.1837)
V (0.5647, 0.2516, 0.8163)
V (0.6442, 0.8821, 0.5263)
V (0.8558, 0.3821, 0.2379)
V (0.9353, 0.7516, 0.6869)
Si (0.0599, 0.9061, 0.9660)
Si (0.2089, 0.3043, 0.5132)
Si (0.2500, 0.7500, 0.5000)
Si (0.2911, 0.8043, 0.0954)
Si (0.4401, 0.4061, 0.8462)
Si (0.5599, 0.5939, 0.1538)
Si (0.7089, 0.1957, 0.9046)
Si (0.7500, 0.2500, 0.5000)
Si (0.7911, 0.6957, 0.4868)
Si (0.9401, 0.0939, 0.0340)

---

# 7
Theoretical XRD peak list
Compound: Tb2RuRh
Radiation: a wavelength of 1.5418 Å
Structure: a crystal structure in the Materials Project, relaxed with GGA-PBE

Largest 8 diffraction maxima, by angle, 2θ from 10° to 90°:
2theta  I/Imax
26.03  5.0
37.14  100.0
45.92  1.6
53.54  17.4
60.48  2.1
66.96  35.1
79.14  11.0
85.01  1.1

Cell: 4.8410 4.8410 4.8410 Å, 60.00 60.00 60.00°
Element x y z (fractional)
Tb (0.2500, 0.2500, 0.2500)
Tb (0.7500, 0.7500, 0.7500)
Ru (0.0000, 0.0000, 0.0000)
Rh (0.5000, 0.5000, 0.5000)